Diffraction record for Pt4PbSe8. The X-ray powder pattern is simulated, not measured: it uses a DFT-relaxed cell (GGA-PBE, Alexandria) and λ = 1.5418 Å (Cu Kα).
Lines closer than 0.1° are merged.

The 12 most intense peaks (2θ = 5–70°), low angle first:
2θ 12.7, rel. 84, (0 0 3); 2θ 14.1, rel. 14, (1 0 1); 2θ 15.9, rel. 9, (0 1 2); 2θ 27.4, rel. 15, (0 2 1); 2θ 32.1, rel. 100, (0 2 4); 2θ 40.8, rel. 26, (0 2 7); 2θ 44.3, rel. 30, (2 0 8); 2θ 47.7, rel. 37, (2 2 0); 2θ 49.6, rel. 17, (2 2 3); 2θ 55.9, rel. 15, (2 0 11); 2θ 58.7, rel. 18, (4 0 4); 2θ 67.1, rel. 9, (0 4 8)

Cell and atoms:
```
data_Pt4PbSe8
_chemical_formula_sum 'Pt12 Pb3 Se24'
_symmetry_space_group_name_H-M 'R -3 m'
_symmetry_Int_Tables_number 166
_symmetry_space_group_name_Hall '-R 3 2"'
_cell_length_a 7.6210
_cell_length_b 7.6210
_cell_length_c 20.8599
_cell_angle_alpha 90.00
_cell_angle_beta 90.00
_cell_angle_gamma 120.00
loop_
_atom_site_label
_atom_site_type_symbol
_atom_site_fract_x
_atom_site_fract_y
_atom_site_fract_z
Pt1 Pt 0.0000 0.0000 0.0000
Pt2 Pt 0.0000 0.5000 0.0000
Pb1 Pb 0.0000 0.0000 0.5000
Se1 Se 0.0000 0.0000 0.2715
Se2 Se 0.0040 0.5020 0.2708
```

Diffraction record for Sr2Cd9In3. The X-ray powder pattern is simulated, not measured: it uses a DFT-relaxed cell (GGA-PBE, Alexandria) and λ = 1.5418 Å (Cu Kα).
Lines closer than 0.1° are merged.

The 12 most intense peaks (2θ = 5–70°), low angle first:
2θ 14.2, rel. 11, (1 1 1); 2θ 32.6, rel. 100, (3 1 3); 2θ 34.8, rel. 57, (3 3 0); 2θ 35.1, rel. 42, (6 0 0); 2θ 35.3, rel. 24, (5 1 2); 2θ 38.9, rel. 22, (3 3 2); 2θ 40.0, rel. 28, (0 2 4); 2θ 56.7, rel. 11, (0 2 6); 2θ 60.8, rel. 13, (3 5 3); 2θ 61.0, rel. 13, (6 4 3); 2θ 61.3, rel. 12, (9 1 3); 2θ 68.4, rel. 11, (6 2 6)

Cell and atoms:
```
data_Sr2Cd9In3
_chemical_formula_sum 'Sr8 Cd36 In12'
_symmetry_space_group_name_H-M 'C m c m'
_symmetry_Int_Tables_number 63
_symmetry_space_group_name_Hall '-C 2c 2'
_cell_length_a 15.367
_cell_length_b 8.965
_cell_length_c 10.458
_cell_angle_alpha 90.00
_cell_angle_beta 90.00
_cell_angle_gamma 90.00
loop_
_atom_site_label
_atom_site_type_symbol
_atom_site_fract_x
_atom_site_fract_y
_atom_site_fract_z
Sr1 Sr 0.160 0.161 0.250
Cd1 Cd 0.000 0.148 0.750
Cd2 Cd 0.000 0.336 0.059
Cd3 Cd 0.096 0.452 0.750
Cd4 Cd 0.163 0.180 0.594
In1 In 0.000 0.000 0.000
In2 In 0.186 0.500 0.000
```

Copy entry 1 word for word.
Diffraction record for Pt4PbSe8. The X-ray powder pattern is simulated, not measured: it uses a DFT-relaxed cell (GGA-PBE, Alexandria) and λ = 1.5418 Å (Cu Kα).
Lines closer than 0.1° are merged.

The 12 most intense peaks (2θ = 5–70°), low angle first:
2θ 12.7, rel. 84, (0 0 3); 2θ 14.1, rel. 14, (1 0 1); 2θ 15.9, rel. 9, (0 1 2); 2θ 27.4, rel. 15, (0 2 1); 2θ 32.1, rel. 100, (0 2 4); 2θ 40.8, rel. 26, (0 2 7); 2θ 44.3, rel. 30, (2 0 8); 2θ 47.7, rel. 37, (2 2 0); 2θ 49.6, rel. 17, (2 2 3); 2θ 55.9, rel. 15, (2 0 11); 2θ 58.7, rel. 18, (4 0 4); 2θ 67.1, rel. 9, (0 4 8)

Cell and atoms:
```
data_Pt4PbSe8
_chemical_formula_sum 'Pt12 Pb3 Se24'
_symmetry_space_group_name_H-M 'R -3 m'
_symmetry_Int_Tables_number 166
_symmetry_space_group_name_Hall '-R 3 2"'
_cell_length_a 7.6210
_cell_length_b 7.6210
_cell_length_c 20.8599
_cell_angle_alpha 90.00
_cell_angle_beta 90.00
_cell_angle_gamma 120.00
loop_
_atom_site_label
_atom_site_type_symbol
_atom_site_fract_x
_atom_site_fract_y
_atom_site_fract_z
Pt1 Pt 0.0000 0.0000 0.0000
Pt2 Pt 0.0000 0.5000 0.0000
Pb1 Pb 0.0000 0.0000 0.5000
Se1 Se 0.0000 0.0000 0.2715
Se2 Se 0.0040 0.5020 0.2708
```